Entry 1:
Starting from the GGA-PBE geometry in Alexandria, the powder diffractogram of BiB was calculated for Cu Kα (λ = 1.5418 Å).

Main lines, low angle first (10 to 80 degrees two-theta):
(hkl)	2θ/deg	I/Imax
1 0 0	26.36	26
0 0 2	27.78	28
1 0 1	29.87	100
1 0 2	38.67	18
1 1 0	46.53	23
1 0 3	50.46	27
1 1 2	55.06	27
2 0 1	56.28	18
2 0 3	71.06	10
2 1 1	75.93	15
1 1 4	76.88	10
1 0 5	79.89	7

Crystal structure
a b c (Å): 3.9037 3.9037 6.4225
angles (deg): 90.00 90.00 120.00
Space group P6_3mc (No. 186)
Unique sites:
1 Bi 0.3333 0.6667 0.0000
2 B 0.3333 0.6667 0.6251

Entry 2:
Starting from the GGA-PBE geometry in Alexandria, the powder diffractogram of DyErIrRu was calculated for Cu Kα (λ = 1.5418 Å).

Main lines, low angle first (10 to 80 degrees two-theta):
(hkl)	2θ/deg	I/Imax
1 1 1	22.68	4
2 2 0	37.45	100
3 1 1	44.23	3
4 0 0	54.01	17
3 3 1	59.31	1
4 2 2	67.57	36
5 1 1	72.29	1
4 4 0	79.90	11

Crystal structure
a b c (Å): 6.792 6.792 6.792
angles (deg): 90.00 90.00 90.00
Space group F-43m (No. 216)
Unique sites:
1 Dy 0.000 0.000 0.000
2 Er 0.000 0.000 0.500
3 Ir 0.250 0.250 0.250
4 Ru 0.250 0.250 0.750

Entry 3:
Starting from the GGA-PBE geometry in Alexandria, the powder diffractogram of Na8GaTe6 was calculated for Cu Kα (λ = 1.5418 Å).

Main lines, low angle first (10 to 80 degrees two-theta):
(hkl)	2θ/deg	I/Imax
1 1 2	19.67	68
0 1 3	22.05	34
1 0 3	22.75	53
1 2 1	22.98	79
0 2 2	23.20	66
2 1 1	24.97	84
2 0 2	25.80	68
0 1 5	34.80	44
2 3 1	37.09	47
0 4 0	38.53	29
2 2 4	39.96	100
4 0 0	45.00	36

Crystal structure
a b c (Å): 8.055 9.346 13.411
angles (deg): 90.00 90.00 90.00
Space group Pmn2_1 (No. 31)
Unique sites:
1 Na 0.000 0.104 0.000
2 Na 0.000 0.244 0.426
3 Na 0.208 0.568 0.783
4 Na 0.220 0.942 0.765
5 Na 0.222 0.723 0.107
6 Ga 0.000 0.750 0.473
7 Te 0.000 0.259 0.202
8 Te 0.000 0.511 0.581
9 Te 0.000 0.777 0.925
10 Te 0.000 0.994 0.575
11 Te 0.249 0.252 0.841

Entry 4:
Starting from the GGA-PBE geometry in Alexandria, the powder diffractogram of Tl2WCl7 was calculated for Cu Kα (λ = 1.5418 Å).

Main lines, low angle first (10 to 80 degrees two-theta):
(hkl)	2θ/deg	I/Imax
2 0 0	13.44	66
1 1 1	18.57	100
1 1 -2	19.50	34
4 0 -2	21.13	48
0 2 0	22.34	27
2 2 -1	24.75	38
3 1 -3	25.34	48
4 2 -2	30.95	42
2 0 -4	32.28	52
1 3 -2	37.58	40
0 0 4	39.27	28
6 2 -2	39.62	25

Crystal structure
a b c (Å): 16.926 7.959 11.796
angles (deg): 90.00 128.91 90.00
Space group C2/c (No. 15)
Unique sites:
1 Tl 0.115 0.171 0.027
2 W 0.000 0.280 0.250
3 Cl 0.000 0.407 0.750
4 Cl 0.084 0.276 0.502
5 Cl 0.089 0.021 0.255
6 Cl 0.157 0.370 0.304

Entry 5:
Starting from the GGA-PBE geometry in Alexandria, the powder diffractogram of TbGa2CuPd was calculated for Cu Kα (λ = 1.5418 Å).

Main lines, low angle first (10 to 80 degrees two-theta):
(hkl)	2θ/deg	I/Imax
1 0 1	22.92	10
1 1 0	30.23	10
1 0 3	33.54	61
1 1 2	34.90	100
2 0 0	43.29	54
1 1 4	46.46	10
1 0 5	48.82	25
2 1 3	55.84	28
1 1 6	61.96	15
2 2 0	62.88	17
2 1 5	67.27	19
3 1 2	73.97	22

Crystal structure
a b c (Å): 4.180 4.180 10.423
angles (deg): 90.00 90.00 90.00
Space group I-4m2 (No. 119)
Unique sites:
1 Tb 0.000 0.000 0.000
2 Ga 0.000 0.000 0.380
3 Cu 0.000 0.500 0.750
4 Pd 0.000 0.500 0.250

Entry 6:
Starting from the GGA-PBE geometry in Alexandria, the powder diffractogram of Y2Cu7 was calculated for Cu Kα (λ = 1.5418 Å).

Main lines, low angle first (10 to 80 degrees two-theta):
(hkl)	2θ/deg	I/Imax
1 0 10	31.38	19
0 1 11	33.32	19
1 1 0	34.92	31
0 2 1	40.62	30
2 0 2	40.85	9
1 1 9	41.40	100
0 0 18	43.91	22
2 0 8	45.19	23
0 1 17	46.32	10
2 0 20	65.49	8
3 0 9	67.05	22
2 2 0	73.76	22

Crystal structure
a b c (Å): 5.1385 5.1385 37.1181
angles (deg): 90.00 90.00 120.00
Space group R-3m (No. 166, hexagonal axes)
Unique sites:
1 Y 0.0000 0.0000 0.0505
2 Y 0.0000 0.0000 0.1476
3 Cu 0.0000 0.0000 0.2783
4 Cu 0.0000 0.0000 0.3882
5 Cu 0.0000 0.0000 0.5000
6 Cu 0.0000 0.5000 0.0000
7 Cu 0.0017 0.5009 0.8905

Entry 7:
Starting from the GGA-PBE geometry in Alexandria, the powder diffractogram of KBaP2O6 was calculated for Cu Kα (λ = 1.5418 Å).

Main lines, low angle first (10 to 80 degrees two-theta):
(hkl)	2θ/deg	I/Imax
1 1 0	11.79	16
2 0 0	17.06	15
1 1 -1	17.61	31
1 1 1	20.47	21
2 2 0	23.70	30
2 2 -1	26.10	100
3 1 -1	28.18	21
2 2 1	30.06	42
0 0 2	30.19	43
0 4 1	36.43	14
1 5 0	42.55	16
2 2 -3	48.75	22

Crystal structure
a b c (Å): 10.637 10.851 6.058
angles (deg): 90.00 102.17 90.00
Space group C2/c (No. 15)
Unique sites:
1 K 0.000 0.101 0.250
2 Ba 0.000 0.321 0.750
3 P 0.220 0.416 0.249
4 O 0.135 0.106 0.692
5 O 0.139 0.300 0.181
6 O 0.176 0.474 0.580

Entry 8:
Starting from the GGA-PBE geometry in Alexandria, the powder diffractogram of LiThGa was calculated for Cu Kα (λ = 1.5418 Å).

Main lines, low angle first (10 to 80 degrees two-theta):
(hkl)	2θ/deg	I/Imax
1 0 0	21.93	75
0 0 1	25.35	10
1 0 1	33.76	100
1 1 0	38.47	44
2 0 0	44.72	12
1 1 1	46.63	12
0 0 2	52.09	36
1 0 2	57.14	12
2 1 0	60.43	10
1 1 2	66.58	47
3 0 0	69.58	8
2 0 2	71.00	6

Crystal structure
a b c (Å): 4.6802 4.6802 3.5137
angles (deg): 90.00 90.00 120.00
Space group P-6m2 (No. 187)
Unique sites:
1 Li 0.0000 0.0000 0.0000
2 Th 0.6667 0.3333 0.5000
3 Ga 0.3333 0.6667 0.0000

Entry 9:
Starting from the GGA-PBE geometry in Alexandria, the powder diffractogram of HoPuI5 was calculated for Cu Kα (λ = 1.5418 Å).

Main lines, low angle first (10 to 80 degrees two-theta):
(hkl)	2θ/deg	I/Imax
1 0 -1	10.80	100
0 0 4	23.91	14
1 1 2	26.32	38
2 0 3	27.51	11
2 1 0	28.46	30
1 1 -3	28.70	42
0 0 5	29.97	17
3 0 1	30.13	17
2 1 -2	30.24	19
1 1 -5	37.36	13
2 1 4	38.63	17
0 2 0	42.36	21

Crystal structure
a b c (Å): 9.283 4.268 14.966
angles (deg): 90.00 95.14 90.00
Space group P2_1/m (No. 11)
Unique sites:
1 Ho 0.087 0.250 0.156
2 Pu 0.407 0.750 0.360
3 I 0.128 0.250 0.797
4 I 0.145 0.250 0.365
5 I 0.178 0.750 0.021
6 I 0.349 0.750 0.571
7 I 0.423 0.250 0.195